[1]
NpH4Ru: simulated powder X-ray diffraction pattern (Cu Kα X-rays), based on the PBE geometry in Alexandria.

The 10 most intense peaks (2θ from 10° to 90°), sorted by position:
2θ = 20.25°, I = 22; 2θ = 33.38°, I = 100; 2θ = 35.21°, I = 23; 2θ = 36.83°, I = 10; 2θ = 38.68°, I = 18; 2θ = 42.04°, I = 10; 2θ = 53.30°, I = 15; 2θ = 55.96°, I = 9; 2θ = 62.02°, I = 17; 2θ = 66.65°, I = 14

Structure:
abc: 4.655 5.098 8.597
angles: 90.00 90.00 90.00
Space group Imma (No. 74)
Asymmetric unit:
Np 0.000 0.250 0.149 x4
H 0.209 0.000 0.500 x8
H 0.250 0.083 0.750 x8
Ru 0.000 0.250 0.611 x4

[2]
NpH2Ru: simulated powder X-ray diffraction pattern (Cu Kα X-rays), based on the PBE geometry in Alexandria.

The 10 most intense peaks (2θ from 10° to 90°), sorted by position:
2θ = 14.90°, I = 39; 2θ = 30.06°, I = 55; 2θ = 35.49°, I = 15; 2θ = 36.58°, I = 100; 2θ = 40.69°, I = 73; 2θ = 54.62°, I = 32; 2θ = 63.00°, I = 21; 2θ = 63.61°, I = 20; 2θ = 71.37°, I = 29; 2θ = 75.11°, I = 13

Structure:
abc: 2.9508 2.9508 17.8390
angles: 90.00 90.00 120.00
Space group R-3m (No. 166, hexagonal axes)
Asymmetric unit:
Np 0.0000 0.0000 0.0000 x3
H 0.0000 0.0000 0.4065 x6
Ru 0.0000 0.0000 0.5000 x3

[3]
NpH4Ru: simulated powder X-ray diffraction pattern (Cu Kα X-rays), based on the PBE geometry in Alexandria.

The 10 most intense peaks (2θ from 10° to 90°), sorted by position:
2θ = 23.74°, I = 29; 2θ = 29.73°, I = 53; 2θ = 30.82°, I = 100; 2θ = 32.36°, I = 15; 2θ = 37.53°, I = 99; 2θ = 47.55°, I = 17; 2θ = 48.59°, I = 49; 2θ = 57.09°, I = 17; 2θ = 62.09°, I = 15; 2θ = 70.34°, I = 19

Structure:
abc: 3.825 12.020 4.794
angles: 90.00 90.00 90.00
Space group Cmcm (No. 63)
Asymmetric unit:
Np 0.000 0.129 0.250 x4
H 0.000 0.097 0.750 x4
H 0.000 0.298 0.508 x8
H 0.000 0.500 0.000 x4
Ru 0.000 0.396 0.250 x4